# Li2Co3SnO8
Simulated PXRD pattern, Cu Kα (λ = 1.5418 Å). Input: DFT lattice parameters and positions (PBE+U).
Kinematic intensities with the Lorentz-polarization factor, no thermal factor.

a = 8.2816 Å, b = 8.2816 Å, c = 8.2816 Å
α = 90.13°, β = 90.13°, γ = 90.13°
Fractional positions:
Li  0.1273  0.6266  0.6247
Li  0.1277  0.1277  0.1277
Li  0.3734  0.8727  0.3753
Li  0.3753  0.3734  0.8727
Li  0.6247  0.1273  0.6266
Li  0.6266  0.6247  0.1273
Li  0.8723  0.8723  0.8723
Li  0.8727  0.3753  0.3734
Co  0.0000  0.7404  0.2596
Co  0.0117  0.9883  0.5000
Co  0.2397  0.4892  0.2487
Co  0.2487  0.2397  0.4892
Co  0.2596  0.0000  0.7404
Co  0.4892  0.2487  0.2397
Co  0.5000  0.0117  0.9883
Co  0.5108  0.7603  0.7513
Co  0.7404  0.2596  0.0000
Co  0.7513  0.5108  0.7603
Co  0.7603  0.7513  0.5108
Co  0.9883  0.5000  0.0117
Sn  0.0000  0.2490  0.7510
Sn  0.2490  0.7510  0.0000
Sn  0.5000  0.5000  0.5000
Sn  0.7510  0.0000  0.2490
O  0.0031  0.9749  0.2671
O  0.0074  0.5100  0.2367
O  0.0142  0.2208  0.4982
O  0.0251  0.9969  0.7329
O  0.2208  0.4982  0.0142
O  0.2333  0.7229  0.2499
O  0.2367  0.0074  0.5100
O  0.2474  0.4733  0.4819
O  0.2499  0.2333  0.7229
O  0.2630  0.2630  0.2630
O  0.2671  0.0031  0.9749
O  0.2771  0.7667  0.7501
O  0.4733  0.4819  0.2474
O  0.4819  0.2474  0.4733
O  0.4900  0.9926  0.7633
O  0.4982  0.0142  0.2208
O  0.5018  0.7792  0.9858
O  0.5100  0.2367  0.0074
O  0.5181  0.5267  0.7526
O  0.5267  0.7526  0.5181
O  0.7229  0.2499  0.2333
O  0.7329  0.0251  0.9969
O  0.7370  0.7370  0.7370
O  0.7501  0.2771  0.7667
O  0.7526  0.5181  0.5267
O  0.7633  0.4900  0.9926
O  0.7667  0.7501  0.2771
O  0.7792  0.9858  0.5018
O  0.9749  0.2671  0.0031
O  0.9858  0.5018  0.7792
O  0.9926  0.7633  0.4900
O  0.9969  0.7329  0.0251

Principal peaks in the range 2θ from 5° to 70°, in order of rising 2θ:
2theta  d_spacing  I/Imax
18.6  4.781  100
24.0  3.704  8
36.0  2.497  51
37.6  2.393  15
43.7  2.070  50
47.8  1.901  10
57.8  1.594  15
63.5  1.466  15
63.6  1.462  15
66.8  1.401  8